Theoretical powder XRD pattern of Nb4Te17I4 for a wavelength of 1.5418 Å, from a DFT-relaxed cell (GGA-PBE, the Materials Project).

Atomic structure:
Lattice parameters (Å, degrees): 16.7080 8.5682 27.1225 90.00 104.83 90.00
Space group C2/c (No. 15)
Asymmetric unit:
Nb  0.0773  0.1970  0.3283
Nb  0.1906  0.2157  0.4425
Te  0.0000  0.0447  0.7500
Te  0.0287  0.3762  0.4004
Te  0.0618  0.0183  0.9075
Te  0.0768  0.4626  0.8214
Te  0.0961  0.2090  0.2247
Te  0.1320  0.2931  0.5297
Te  0.1992  0.0326  0.8675
Te  0.2224  0.4833  0.9900
Te  0.2254  0.3704  0.3542
I  0.1051  0.1326  0.0557
I  0.1471  0.4481  0.7052

Largest 12 diffraction maxima, in order of rising 2θ, 5 to 70 degrees two-theta:
two_theta  I (rel.)  hkl
11.3  75  2 0 -2
11.8  100  1 1 -1
25.5  47  2 0 6
30.0  18  4 2 -1
30.4  32  4 0 -8
31.5  16  2 2 -7
31.7  22  0 2 7
33.1  18  2 0 -10
33.9  19  1 3 3
35.7  25  6 0 2
37.1  17  4 2 -8
38.6  30  3 1 -11